The following is a computed powder X-ray diffraction pattern of PmPr2Nd2Tm2. It was derived from a cell relaxed with GGA-PBE, using Cu Ka.
No peak broadening, texture or thermal motion is included.

Most intense lines, 15° ≤ 2θ ≤ 90°, by angle:
2theta	I (rel.)	(hkl)
30.14	100	1 1 2
34.84	17	2 0 -3
34.99	34	4 0 1
50.17	18	2 0 4
50.32	18	4 2 1
59.52	7	1 1 -5
59.68	14	1 3 2
59.75	14	3 3 -1
59.88	7	7 1 0
62.58	6	2 2 4
62.74	6	6 2 -2
81.73	6	5 3 3

Structural model:
```
data_PmPr2Nd2Tm2
_chemical_formula_sum 'Pm2 Pr4 Nd4 Tm4'
_symmetry_space_group_name_H-M 'C 1 2/m 1'
_symmetry_Int_Tables_number 12
_symmetry_space_group_name_Hall '-C 2y'
_cell_length_a 11.455
_cell_length_b 5.134
_cell_length_c 8.147
_cell_angle_alpha 90.00
_cell_angle_beta 98.19
_cell_angle_gamma 90.00
loop_
_atom_site_label
_atom_site_fract_x
_atom_site_fract_y
_atom_site_fract_z
Pm1 0.000 0.000 0.000
Pr1 0.071 0.500 0.720
Nd1 0.144 0.000 0.429
Tm1 0.215 0.500 0.140
```